Computed XRD peak list of NaGeMoO4 for Cu Kα (λ = 1.5418 Å), from a cell relaxed with PBE+U.

Cell: 5.369 5.369 6.909 Å, 90.00 90.00 116.53°
Fractional positions:
1 Na 0.175 0.825 0.750
2 Na 0.825 0.175 0.250
3 Ge 0.161 0.839 0.250
4 Ge 0.839 0.161 0.750
5 Mo 0.500 0.500 0.000
6 Mo 0.500 0.500 0.500
7 O 0.217 0.289 0.750
8 O 0.270 0.730 0.044
9 O 0.270 0.730 0.456
10 O 0.289 0.217 0.250
11 O 0.711 0.783 0.750
12 O 0.730 0.270 0.544
13 O 0.730 0.270 0.956
14 O 0.783 0.711 0.250

Top 10 peaks for 10° ≤ 2θ ≤ 80°, low angle first:
| d (Å) | 2θ/deg | I_rel |
| --- | --- | --- |
| 4.803 | 18.47 | 23 |
| 3.944 | 22.54 | 28 |
| 3.809 | 23.35 | 18 |
| 2.824 | 31.68 | 43 |
| 2.804 | 31.91 | 100 |
| 2.680 | 33.44 | 65 |
| 1.972 | 46.03 | 33 |
| 1.627 | 56.58 | 21 |
| 1.579 | 58.45 | 26 |
| 1.452 | 64.15 | 20 |